# 1
For Er4CuPd, a GGA-PBE-relaxed structure gives the theoretical X-ray diffraction stick pattern in this record (Cu Ka).

abc: 9.4553 9.4553 7.8161
angles: 90.00 90.00 90.00
Space group I4_1md (No. 109)
Inequivalent atoms, fractional coordinates:
Er 0.0000 0.2044 0.0000 x8
Er 0.0000 0.2104 0.4969 x8
Cu 0.0000 0.0000 0.2530 x4
Pd 0.0000 0.0000 0.7441 x4

Principal peaks in the range 10° ≤ 2θ ≤ 90°, low angle first:
| d (Å) | 2θ/deg | I_rel |
| --- | --- | --- |
| 4.728 | 18.8 | 21 |
| 3.343 | 26.7 | 26 |
| 3.012 | 29.7 | 100 |
| 2.990 | 29.9 | 27 |
| 2.375 | 37.9 | 30 |
| 2.364 | 38.1 | 30 |
| 1.936 | 46.9 | 32 |
| 1.860 | 49.0 | 26 |
| 1.506 | 61.6 | 15 |
| 1.183 | 81.3 | 16 |



# 2
For Er3HPbS, a GGA-PBE-relaxed structure gives the theoretical X-ray diffraction stick pattern in this record (Cu Ka).

abc: 7.9721 4.0596 8.4678
angles: 90.00 100.26 90.00
Space group P2_1/m (No. 11)
Inequivalent atoms, fractional coordinates:
Er 0.0690 0.2500 0.3282 x2
Er 0.3225 0.2500 0.9573 x2
Er 0.3824 0.7500 0.6264 x2
H 0.4112 0.7500 0.8972 x2
Pb 0.3292 0.7500 0.2434 x2
S 0.1549 0.2500 0.6490 x2

Principal peaks in the range 10° ≤ 2θ ≤ 90°, low angle first:
| d (Å) | 2θ/deg | I_rel |
| --- | --- | --- |
| 7.845 | 11.3 | 19 |
| 5.263 | 16.8 | 15 |
| 3.214 | 27.8 | 30 |
| 2.908 | 30.8 | 34 |
| 2.821 | 31.7 | 30 |
| 2.781 | 32.2 | 100 |
| 2.618 | 34.2 | 40 |
| 2.486 | 36.1 | 43 |
| 2.208 | 40.9 | 21 |
| 2.030 | 44.6 | 24 |



# 3
For Ac2TeSe5, a GGA-PBE-relaxed structure gives the theoretical X-ray diffraction stick pattern in this record (Cu Ka).

abc: 8.9377 11.3594 6.4885
angles: 90.00 132.48 90.00
Space group Cm (No. 8)
Inequivalent atoms, fractional coordinates:
Ac 0.0000 0.2411 0.0000 x4
Te 0.0138 0.5000 0.5085 x2
Se 0.1360 0.0000 0.9165 x2
Se 0.3177 0.0000 0.7444 x2
Se 0.3488 0.5000 0.0580 x2
Se 0.4918 0.2457 0.4921 x4

Principal peaks in the range 10° ≤ 2θ ≤ 90°, low angle first:
| d (Å) | 2θ/deg | I_rel |
| --- | --- | --- |
| 4.785 | 18.5 | 38 |
| 3.512 | 25.4 | 75 |
| 3.296 | 27.1 | 65 |
| 3.237 | 27.6 | 62 |
| 2.851 | 31.4 | 71 |
| 2.840 | 31.5 | 100 |
| 2.812 | 31.8 | 70 |
| 2.393 | 37.6 | 40 |
| 2.151 | 42.0 | 40 |
| 2.135 | 42.3 | 38 |



# 4
For SmFe2Co9, a GGA-PBE-relaxed structure gives the theoretical X-ray diffraction stick pattern in this record (Cu Ka).

abc: 8.0557 8.0557 4.6936
angles: 90.00 90.00 90.00
Space group P4/mbm (No. 127)
Inequivalent atoms, fractional coordinates:
Sm 0.0000 0.0000 0.0000 x2
Fe 0.1147 0.3853 0.0000 x4
Co 0.0000 0.5000 0.5000 x2
Co 0.0662 0.2153 0.5000 x8
Co 0.1784 0.6784 0.2356 x8

Principal peaks in the range 10° ≤ 2θ ≤ 90°, low angle first:
| d (Å) | 2θ/deg | I_rel |
| --- | --- | --- |
| 2.547 | 35.2 | 22 |
| 2.435 | 36.9 | 36 |
| 2.239 | 40.3 | 100 |
| 2.028 | 44.7 | 41 |
| 2.017 | 44.9 | 34 |
| 1.966 | 46.2 | 60 |
| 1.954 | 46.5 | 46 |
| 1.802 | 50.7 | 27 |
| 1.311 | 72.1 | 17 |
| 1.107 | 88.3 | 15 |